Record 1
# LiDyCdPb
Computed powder XRD pattern, λ = 1.5418 Å (Cu Kα). Input: a cell relaxed with GGA-PBE.

Largest 8 diffraction maxima, by angle, 2θ = 10–90°:
| Position (°2θ) | I/Imax | hkl |
| --- | --- | --- |
| 21.06 | 31 | 1 1 1 |
| 24.37 | 12 | 2 0 0 |
| 34.73 | 100 | 2 2 0 |
| 40.97 | 18 | 3 1 1 |
| 49.94 | 18 | 4 0 0 |
| 62.26 | 37 | 4 2 2 |
| 73.30 | 11 | 4 4 0 |
| 83.74 | 17 | 6 2 0 |

```
data_LiDyCdPb
_symmetry_space_group_name_H-M 'F -4 3 m'
_symmetry_Int_Tables_number 216
_symmetry_space_group_name_Hall 'F -4 2 3'
_cell_length_a 7.305
_cell_length_b 7.305
_cell_length_c 7.305
_cell_angle_alpha 90.00
_cell_angle_beta 90.00
_cell_angle_gamma 90.00
loop_
_atom_site_label
_atom_site_type_symbol
_atom_site_fract_x
_atom_site_fract_y
_atom_site_fract_z
Li1 Li 0.000 0.000 0.000
Dy1 Dy 0.000 0.000 0.500
Cd1 Cd 0.250 0.250 0.750
Pb1 Pb 0.250 0.250 0.250
```

***

Record 2
# Li2DyTl2Cd2
Computed powder XRD pattern, λ = 1.5418 Å (Cu Kα). Input: a cell relaxed with GGA-PBE.

Largest 8 diffraction maxima, by angle, 2θ = 10–90°:
| Position (°2θ) | I/Imax | hkl |
| --- | --- | --- |
| 11.61 | 43 | 0 0 3 |
| 26.12 | 83 | 1 0 4 |
| 34.63 | 95 | 1 0 7 |
| 36.62 | 100 | 1 1 0 |
| 45.54 | 19 | 0 2 4 |
| 48.75 | 24 | 0 1 11 |
| 51.28 | 31 | 0 2 7 |
| 64.66 | 31 | 2 1 7 |

```
data_Li2DyTl2Cd2
_symmetry_space_group_name_H-M 'R -3 m'
_symmetry_Int_Tables_number 166
_symmetry_space_group_name_Hall '-R 3 2"'
_cell_length_a 4.9075
_cell_length_b 4.9075
_cell_length_c 22.8735
_cell_angle_alpha 90.00
_cell_angle_beta 90.00
_cell_angle_gamma 120.00
loop_
_atom_site_label
_atom_site_type_symbol
_atom_site_fract_x
_atom_site_fract_y
_atom_site_fract_z
Li1 Li 0.0000 0.0000 0.1438
Dy1 Dy 0.0000 0.0000 0.0000
Tl1 Tl 0.0000 0.0000 0.2718
Cd1 Cd 0.0000 0.0000 0.4340
```

***

Record 3
# LiDyY2Cd4
Computed powder XRD pattern, λ = 1.5418 Å (Cu Kα). Input: a cell relaxed with GGA-PBE.

Largest 8 diffraction maxima, by angle, 2θ = 10–90°:
| Position (°2θ) | I/Imax | hkl |
| --- | --- | --- |
| 10.39 | 7 | 0 0 3 |
| 20.01 | 7 | 1 0 1 |
| 26.38 | 6 | 0 1 5 |
| 34.45 | 100 | 1 1 0 |
| 49.52 | 17 | 2 0 8 |
| 61.72 | 35 | 3 0 0 |
| 72.63 | 11 | 2 2 0 |
| 82.93 | 15 | 3 1 8 |

```
data_LiDyY2Cd4
_symmetry_space_group_name_H-M 'R -3 m'
_symmetry_Int_Tables_number 166
_symmetry_space_group_name_Hall '-R 3 2"'
_cell_length_a 5.2042
_cell_length_b 5.2042
_cell_length_c 25.5326
_cell_angle_alpha 90.00
_cell_angle_beta 90.00
_cell_angle_gamma 120.00
loop_
_atom_site_label
_atom_site_type_symbol
_atom_site_fract_x
_atom_site_fract_y
_atom_site_fract_z
Li1 Li 0.0000 0.0000 0.0000
Dy1 Dy 0.0000 0.0000 0.5000
Y1 Y 0.0000 0.0000 0.2517
Cd1 Cd 0.0000 0.0000 0.1212
Cd2 Cd 0.0000 0.0000 0.3738
```

***

Record 4
# DyLuMnCd
Computed powder XRD pattern, λ = 1.5418 Å (Cu Kα). Input: a cell relaxed with GGA-PBE.

Largest 8 diffraction maxima, by angle, 2θ = 10–90°:
| Position (°2θ) | I/Imax | hkl |
| --- | --- | --- |
| 24.64 | 12 | 2 0 0 |
| 35.13 | 100 | 2 2 0 |
| 43.38 | 4 | 2 2 2 |
| 50.53 | 18 | 4 0 0 |
| 57.00 | 6 | 4 2 0 |
| 63.03 | 36 | 4 2 2 |
| 74.25 | 11 | 4 4 0 |
| 84.88 | 16 | 6 2 0 |

```
data_DyLuMnCd
_symmetry_space_group_name_H-M 'F -4 3 m'
_symmetry_Int_Tables_number 216
_symmetry_space_group_name_Hall 'F -4 2 3'
_cell_length_a 7.226
_cell_length_b 7.226
_cell_length_c 7.226
_cell_angle_alpha 90.00
_cell_angle_beta 90.00
_cell_angle_gamma 90.00
loop_
_atom_site_label
_atom_site_type_symbol
_atom_site_fract_x
_atom_site_fract_y
_atom_site_fract_z
Dy1 Dy 0.000 0.000 0.000
Lu1 Lu 0.000 0.000 0.500
Mn1 Mn 0.250 0.250 0.750
Cd1 Cd 0.250 0.250 0.250
```

***

Record 5
# Dy5Mg2Cd2
Computed powder XRD pattern, λ = 1.5418 Å (Cu Kα). Input: a cell relaxed with GGA-PBE.

Largest 8 diffraction maxima, by angle, 2θ = 10–90°:
| Position (°2θ) | I/Imax | hkl |
| --- | --- | --- |
| 25.75 | 43 | 0 2 1 |
| 30.22 | 81 | 3 1 2 |
| 30.43 | 49 | 5 1 1 |
| 30.87 | 100 | 4 2 0 |
| 31.07 | 88 | 4 0 2 |
| 32.86 | 71 | 0 2 2 |
| 33.06 | 54 | 4 2 1 |
| 37.07 | 36 | 1 3 1 |

```
data_Dy5Mg2Cd2
_symmetry_space_group_name_H-M 'C m c e'
_symmetry_Int_Tables_number 64
_symmetry_space_group_name_Hall '-C 2ac 2'
_cell_length_a 17.436
_cell_length_b 7.753
_cell_length_c 7.664
_cell_angle_alpha 90.00
_cell_angle_beta 90.00
_cell_angle_gamma 90.00
loop_
_atom_site_label
_atom_site_type_symbol
_atom_site_fract_x
_atom_site_fract_y
_atom_site_fract_z
Dy1 Dy 0.000 0.000 0.000
Dy2 Dy 0.142 0.186 0.322
Mg1 Mg 0.000 0.125 0.623
Cd1 Cd 0.219 0.000 0.000
```

***

Record 6
# Dy4Mg2Cd
Computed powder XRD pattern, λ = 1.5418 Å (Cu Kα). Input: a cell relaxed with GGA-PBE.

Largest 8 diffraction maxima, by angle, 2θ = 10–90°:
| Position (°2θ) | I/Imax | hkl |
| --- | --- | --- |
| 23.87 | 42 | 2 0 0 |
| 34.01 | 100 | 2 2 0 |
| 41.97 | 13 | 2 2 2 |
| 48.90 | 12 | 4 0 0 |
| 55.06 | 12 | 4 0 2 |
| 60.86 | 37 | 4 2 2 |
| 71.59 | 11 | 4 4 0 |
| 81.74 | 11 | 6 2 0 |

```
data_Dy4Mg2Cd
_symmetry_space_group_name_H-M 'I 4/m m m'
_symmetry_Int_Tables_number 139
_symmetry_space_group_name_Hall '-I 4 2'
_cell_length_a 7.451
_cell_length_b 7.451
_cell_length_c 7.468
_cell_angle_alpha 90.00
_cell_angle_beta 90.00
_cell_angle_gamma 90.00
loop_
_atom_site_label
_atom_site_type_symbol
_atom_site_fract_x
_atom_site_fract_y
_atom_site_fract_z
Dy1 Dy 0.250 0.250 0.250
Mg1 Mg 0.000 0.500 0.000
Cd1 Cd 0.000 0.000 0.000
```